The following is a computed PXRD pattern of Rb2Cd3Sn5. It was derived from a DFT-relaxed cell (PBE, OQMD), using λ = 1.5418 Å (Cu Kα).
Neutral-atom scattering factors, no anomalous dispersion.

Crystal structure
```
Rb2Cd3Sn5
1.0
-6.2457 7.1088 3.5520
6.2457 -7.1088 3.5520
6.2457 7.1088 -3.5520
Rb Cd Sn
4 6 10
Direct
0.1247 0.2493 0.3739
0.3753 0.7493 0.1246
0.6247 0.2507 0.8754
0.8753 0.7507 0.6261
0.1248 0.8658 0.9907
0.2500 0.7500 0.5000
0.3752 0.3658 0.7410
0.6248 0.6342 0.2590
0.7500 0.2500 0.5000
0.8752 0.1342 0.0093
0.0012 0.7500 0.2512
0.1230 0.6340 0.7571
0.2500 0.2500 0.0000
0.3770 0.1340 0.5110
0.4988 0.7500 0.7488
0.5012 0.2500 0.2512
0.6230 0.8660 0.4890
0.7500 0.7500 0.0000
0.8770 0.3660 0.2429
0.9988 0.2500 0.7488
```

Main lines, in order of rising 2θ (10° ≤ 2θ ≤ 90°):
two_theta	intensity
27.8	44
28.9	100
35.7	72
38.4	56
40.3	28
45.9	22
51.4	26
55.0	23
60.1	25
66.0	23


The following is a computed PXRD pattern of Rb2Cd5Sn3. It was derived from a DFT-relaxed cell (PBE, OQMD), using λ = 1.5418 Å (Cu Kα).
Neutral-atom scattering factors, no anomalous dispersion.

Crystal structure
```
Rb2Cd5Sn3
1.0
-2.5188 2.5188 12.0218
2.5188 -2.5188 12.0218
2.5188 2.5188 -12.0218
Rb Cd Sn
2 5 3
Direct
0.1945 0.1945 0.0000
0.8055 0.8055 0.0000
0.0771 0.5771 0.5000
0.4229 0.9229 0.5000
0.5000 0.5000 0.0000
0.5771 0.0771 0.5000
0.9229 0.4229 0.5000
0.0000 0.0000 0.0000
0.3559 0.3559 0.0000
0.6441 0.6441 0.0000
```

Main lines, in order of rising 2θ (10° ≤ 2θ ≤ 90°):
two_theta	intensity
25.6	12
31.5	17
33.7	100
35.6	61
39.2	23
51.3	21
58.9	11
62.8	32
65.8	12
85.2	15


The following is a computed PXRD pattern of Rb2Sr2Cd3. It was derived from a DFT-relaxed cell (PBE, OQMD), using λ = 1.5418 Å (Cu Kα).
Neutral-atom scattering factors, no anomalous dispersion.

Crystal structure
```
Rb2Sr2Cd3
1.0
2.9855 1.7237 9.7126
-2.9855 1.7237 9.7126
0.0000 -3.4474 9.7126
Rb Sr Cd
2 2 3
Direct
0.0000 0.0000 0.0000
0.4944 0.4944 0.4944
0.2485 0.2485 0.2485
0.7440 0.7440 0.7440
0.3694 0.3694 0.3694
0.6211 0.6211 0.6211
0.8743 0.8743 0.8743
```

Main lines, in order of rising 2θ (10° ≤ 2θ ≤ 90°):
two_theta	intensity
18.2	6
30.0	100
42.9	18
53.2	29
53.3	9
62.2	6
62.4	6
70.6	8
70.7	8
86.2	10


The following is a computed PXRD pattern of Rb2Cd3Te4. It was derived from a DFT-relaxed cell (PBE, OQMD), using λ = 1.5418 Å (Cu Kα).
Neutral-atom scattering factors, no anomalous dispersion.

Crystal structure
```
Rb2Cd3Te4
1.0
7.3055 -7.7275 0.0000
7.3055 7.7275 0.0000
-5.7525 0.0000 11.7029
Rb Cd Te
8 12 16
Direct
0.0000 0.0000 0.0000
0.0000 0.0000 0.5000
0.2450 0.2494 0.8636
0.2494 0.2450 0.3636
0.4988 0.5012 0.7500
0.5012 0.4988 0.2500
0.7506 0.7550 0.6364
0.7550 0.7506 0.1364
0.1121 0.5925 0.3019
0.1253 0.6483 0.5897
0.1405 0.6206 0.0431
0.3517 0.8747 0.9103
0.3794 0.8595 0.4569
0.4075 0.8879 0.1981
0.5925 0.1121 0.8019
0.6206 0.1405 0.5431
0.6483 0.1253 0.0897
0.8595 0.3794 0.9569
0.8747 0.3517 0.4103
0.8879 0.4075 0.6981
0.1098 0.3916 0.6224
0.1149 0.8851 0.7500
0.1175 0.3814 0.1085
0.1543 0.8457 0.2500
0.3466 0.6189 0.5000
0.3814 0.1175 0.6085
0.3811 0.6534 0.0000
0.3916 0.1098 0.1224
0.6084 0.8902 0.8776
0.6189 0.3466 0.0000
0.6186 0.8825 0.3915
0.6534 0.3811 0.5000
0.8457 0.1543 0.7500
0.8825 0.6186 0.8915
0.8851 0.1149 0.2500
0.8902 0.6084 0.3776
```

Main lines, in order of rising 2θ (10° ≤ 2θ ≤ 90°):
two_theta	intensity
11.5	27
25.9	100
27.2	17
29.6	19
29.7	18
35.9	22
36.0	22
38.8	22
39.1	22
47.4	19


The following is a computed PXRD pattern of RbTl2Cd2. It was derived from a DFT-relaxed cell (PBE, OQMD), using λ = 1.5418 Å (Cu Kα).
Neutral-atom scattering factors, no anomalous dispersion.

Crystal structure
```
RbTl2Cd2
1.0
5.5083 0.0000 0.0000
-2.7541 4.7703 0.0000
0.0000 0.0000 13.1388
Rb Tl Cd
2 4 4
Direct
0.0000 0.0000 0.2500
0.0000 0.0000 0.7500
0.0000 0.0000 0.0000
0.0000 0.0000 0.5000
0.3333 0.6667 0.2500
0.6667 0.3333 0.7500
0.3333 0.6667 0.5669
0.3333 0.6667 0.9331
0.6667 0.3333 0.0669
0.6667 0.3333 0.4331
```

Main lines, in order of rising 2θ (10° ≤ 2θ ≤ 90°):
two_theta	intensity
23.0	16
27.1	22
27.7	78
32.5	100
33.1	15
42.9	39
43.2	23
45.6	15
55.1	23
58.0	19


The following is a computed PXRD pattern of Rb4TlCd3. It was derived from a DFT-relaxed cell (PBE, OQMD), using λ = 1.5418 Å (Cu Kα).
Neutral-atom scattering factors, no anomalous dispersion.

Crystal structure
```
Rb4TlCd3
1.0
5.9929 0.0000 0.0000
0.0000 5.9929 0.0000
0.0000 0.0000 8.4404
Rb Tl Cd
4 1 3
Direct
0.0000 0.0000 0.0000
0.0000 0.5000 0.7500
0.5000 0.0000 0.2500
0.5000 0.5000 0.5000
0.0000 0.0000 0.5000
0.0000 0.5000 0.2569
0.5000 0.0000 0.7431
0.5000 0.5000 0.0000
```

Main lines, in order of rising 2θ (10° ≤ 2θ ≤ 90°):
two_theta	intensity
18.2	6
29.9	100
42.7	12
42.9	6
53.0	26
53.1	13
62.1	8
70.3	11
85.9	13
86.1	6


The following is a computed PXRD pattern of ScCd3Re. It was derived from a DFT-relaxed cell (PBE, OQMD), using λ = 1.5418 Å (Cu Kα).
Neutral-atom scattering factors, no anomalous dispersion.

Crystal structure
```
ScCd3Re
1.0
2.1762 -13.4792 0.0000
2.1762 13.4792 0.0000
0.0000 0.0000 3.4834
Sc Cd Re
2 6 2
Direct
0.1548 0.8452 0.0000
0.8452 0.1548 0.0000
0.0560 0.9440 0.5000
0.2774 0.7226 0.5000
0.4508 0.5492 0.0000
0.5492 0.4508 0.0000
0.7226 0.2774 0.5000
0.9440 0.0560 0.5000
0.3727 0.6273 0.5000
0.6273 0.3727 0.5000
```

Main lines, in order of rising 2θ (10° ≤ 2θ ≤ 90°):
two_theta	intensity
20.7	21
22.7	20
25.6	26
34.5	100
36.4	24
40.6	25
41.5	37
42.3	16
45.0	62
52.5	18


The following is a computed PXRD pattern of Cd2SnS4. It was derived from a DFT-relaxed cell (PBE, OQMD), using λ = 1.5418 Å (Cu Kα).
Neutral-atom scattering factors, no anomalous dispersion.

Crystal structure
```
Cd2SnS4
1.0
5.6830 0.0000 0.0000
0.0000 5.6830 0.0000
0.0000 0.0000 11.4674
Cd Sn S
4 2 8
Direct
0.0000 0.0000 0.0000
0.0000 0.5000 0.2500
0.5000 0.0000 0.7500
0.5000 0.5000 0.5000
0.0000 0.0000 0.5000
0.5000 0.5000 0.0000
0.2203 0.7433 0.6296
0.2433 0.2797 0.8704
0.2567 0.2203 0.3704
0.2797 0.7567 0.1296
0.7203 0.2433 0.1296
0.7433 0.7797 0.3704
0.7567 0.7203 0.8704
0.7797 0.2567 0.6296
```

Main lines, in order of rising 2θ (10° ≤ 2θ ≤ 90°):
two_theta	intensity
17.4	22
27.1	100
31.5	12
36.2	11
44.9	40
45.1	19
53.1	15
53.4	29
72.1	12
83.1	12


The following is a computed PXRD pattern of ZnCdS2. It was derived from a DFT-relaxed cell (PBE, OQMD), using λ = 1.5418 Å (Cu Kα).
Neutral-atom scattering factors, no anomalous dispersion.

Crystal structure
```
ZnCdS2
1.0
3.9899 0.0000 0.0000
0.0000 3.9899 0.0000
0.0000 0.0000 5.7085
Zn Cd S
1 1 2
Direct
0.0000 0.0000 0.0000
0.5000 0.5000 0.5000
0.0000 0.5000 0.2237
0.5000 0.0000 0.7763
```

Main lines, in order of rising 2θ (10° ≤ 2θ ≤ 90°):
two_theta	intensity
27.3	100
31.3	7
31.7	12
45.2	38
45.5	19
53.3	14
53.8	28
66.3	6
72.6	11
83.8	12


The following is a computed PXRD pattern of Cd6Sb5. It was derived from a DFT-relaxed cell (PBE, OQMD), using λ = 1.5418 Å (Cu Kα).
Neutral-atom scattering factors, no anomalous dispersion.

Crystal structure
```
Cd6Sb5
1.0
6.9349 4.0039 4.1327
-6.9349 4.0039 4.1327
0.0000 -8.0078 4.1327
Cd Sb
12 10
Direct
0.0664 0.7391 0.7011
0.2011 0.2391 0.5664
0.2391 0.5664 0.2011
0.2609 0.2989 0.9336
0.2989 0.9336 0.2609
0.4336 0.7989 0.7609
0.5664 0.2011 0.2391
0.7011 0.0664 0.7391
0.7391 0.7011 0.0664
0.7609 0.4336 0.7989
0.7989 0.7609 0.4336
0.9336 0.2609 0.2989
0.0617 0.4383 0.7500
0.1140 0.1140 0.1140
0.2500 0.9383 0.5617
0.3860 0.3860 0.3860
0.4383 0.7500 0.0617
0.5617 0.2500 0.9383
0.6140 0.6140 0.6140
0.7500 0.0617 0.4383
0.8860 0.8860 0.8860
0.9383 0.5617 0.2500
```

Main lines, in order of rising 2θ (10° ≤ 2θ ≤ 90°):
two_theta	intensity
22.2	21
24.3	100
25.1	46
30.5	21
32.5	32
39.0	95
40.3	21
40.8	31
44.0	28
49.6	42


The following is a computed PXRD pattern of CdSb. It was derived from a DFT-relaxed cell (PBE, OQMD), using λ = 1.5418 Å (Cu Kα).
Neutral-atom scattering factors, no anomalous dispersion.

Crystal structure
```
CdSb
1.0
3.3552 0.0000 0.0000
-1.6776 2.9057 0.0000
0.0000 0.0000 5.2450
Cd Sb
1 1
Direct
0.0000 0.0000 0.0000
0.6667 0.3333 0.5000
```

Main lines, in order of rising 2θ (10° ≤ 2θ ≤ 90°):
two_theta	intensity
30.8	24
34.2	24
35.3	100
46.7	15
54.7	18
61.9	19
66.1	20
66.8	15
74.7	4
87.2	7


The following is a computed PXRD pattern of CdSi2Sb. It was derived from a DFT-relaxed cell (PBE, OQMD), using λ = 1.5418 Å (Cu Kα).
Neutral-atom scattering factors, no anomalous dispersion.

Crystal structure
```
CdSi2Sb
1.0
6.9260 0.0000 0.0000
0.0000 6.9260 0.0000
0.0000 0.0000 6.9260
Cd Si Sb
4 8 4
Direct
0.0000 0.0000 0.0000
0.0000 0.5000 0.5000
0.5000 0.0000 0.5000
0.5000 0.5000 0.0000
0.0000 0.0000 0.5000
0.0000 0.5000 0.0000
0.2500 0.2500 0.2500
0.2500 0.7500 0.7500
0.5000 0.0000 0.0000
0.5000 0.5000 0.5000
0.7500 0.2500 0.7500
0.7500 0.7500 0.2500
0.2500 0.2500 0.7500
0.2500 0.7500 0.2500
0.7500 0.2500 0.2500
0.7500 0.7500 0.7500
```

Main lines, in order of rising 2θ (10° ≤ 2θ ≤ 90°):
two_theta	intensity
22.2	44
36.7	100
43.3	23
52.9	17
58.0	10
66.1	34
70.7	7
78.0	11
82.4	7
89.5	16


The following is a computed PXRD pattern of CdSbTe. It was derived from a DFT-relaxed cell (PBE, OQMD), using λ = 1.5418 Å (Cu Kα).
Neutral-atom scattering factors, no anomalous dispersion.

Crystal structure
```
CdSbTe
1.0
8.2924 0.0000 0.0000
0.0000 4.2626 0.0000
0.0000 0.0000 10.0370
Cd Sb Te
4 4 4
Direct
0.1505 0.2500 0.1597
0.3495 0.7500 0.6597
0.6505 0.2500 0.3403
0.8495 0.7500 0.8403
0.1267 0.2500 0.5190
0.3733 0.7500 0.0190
0.6267 0.2500 0.9810
0.8733 0.7500 0.4810
0.0976 0.2500 0.8070
0.4024 0.7500 0.3070
0.5976 0.2500 0.6930
0.9024 0.7500 0.1930
```

Main lines, in order of rising 2θ (10° ≤ 2θ ≤ 90°):
two_theta	intensity
28.8	52
30.1	100
35.8	59
42.4	36
43.7	14
47.7	23
52.1	19
62.5	13
63.9	12
71.7	12